[1]
The following is a theoretical powder diffraction line list of Zr3Ti3P2. It was derived from a structure optimized by DFT (GGA-PBE), using Cu Kα, 1.54184 Å.
No peak broadening, texture or thermal motion is included.

Peak list (12 most intense, 2θ from 15° to 90°, in order of rising 2θ)
23.56 deg, rel. 262
29.48 deg, rel. 157
33.87 deg, rel. 674
35.72 deg, rel. 1000
38.36 deg, rel. 326
40.59 deg, rel. 498
42.45 deg, rel. 159
49.11 deg, rel. 240
50.94 deg, rel. 214
62.59 deg, rel. 261
65.55 deg, rel. 222
73.46 deg, rel. 136

Cell and atoms:
```
data_Zr3Ti3P2
_chemical_formula_sum 'Zr3 Ti3 P2'
_cell_length_a 3.5852
_cell_length_b 3.7100
_cell_length_c 11.3305
_cell_angle_alpha 90.00
_cell_angle_beta 90.01
_cell_angle_gamma 90.00
_symmetry_space_group_name_H-M 'P 1'
_symmetry_Int_Tables_number 1
_symmetry_space_group_name_Hall 'P 1'
loop_
_atom_site_label
_atom_site_type_symbol
_atom_site_fract_x
_atom_site_fract_y
_atom_site_fract_z
Zr1 Zr 0.0000 0.0000 0.0000
Zr2 Zr 0.0094 0.0000 0.6864
Zr3 Zr 0.4999 0.0000 0.2986
Ti1 Ti 0.0056 0.5000 0.4624
Ti2 Ti 0.4998 0.5000 0.0869
Ti3 Ti 0.5042 0.5000 0.8464
P1 P 0.0003 0.5000 0.2374
P2 P 0.5085 0.5000 0.6190
```



[2]
The following is a theoretical powder diffraction line list of Zr9Ti3P4. It was derived from a structure optimized by DFT (GGA-PBE), using Cu Kα, 1.54184 Å.
No peak broadening, texture or thermal motion is included.

Peak list (12 most intense, 2θ from 15° to 90°, in order of rising 2θ)
27.72 deg, rel. 217
29.70 deg, rel. 177
32.47 deg, rel. 289
35.84 deg, rel. 1000
37.37 deg, rel. 227
39.26 deg, rel. 123
40.51 deg, rel. 179
45.43 deg, rel. 246
46.71 deg, rel. 119
51.49 deg, rel. 168
71.07 deg, rel. 123
77.64 deg, rel. 110

Cell and atoms:
```
data_Zr9Ti3P4
_chemical_formula_sum 'Zr9 Ti3 P4'
_cell_length_a 3.5496
_cell_length_b 3.9926
_cell_length_c 22.8733
_cell_angle_alpha 90.00
_cell_angle_beta 90.00
_cell_angle_gamma 90.00
_symmetry_space_group_name_H-M 'P 1'
_symmetry_Int_Tables_number 1
_symmetry_space_group_name_Hall 'P 1'
loop_
_atom_site_label
_atom_site_type_symbol
_atom_site_fract_x
_atom_site_fract_y
_atom_site_fract_z
Zr1 Zr 0.0000 0.0000 0.0000
Zr2 Zr 0.0000 0.0000 0.2435
Zr3 Zr 0.0000 0.5000 0.0964
Zr4 Zr 0.0000 0.5000 0.3659
Zr5 Zr 0.0000 0.5000 0.7269
Zr6 Zr 0.5000 0.0000 0.1291
Zr7 Zr 0.5000 0.5000 0.2407
Zr8 Zr 0.5000 0.5000 0.5447
Zr9 Zr 0.5000 0.5000 0.9153
Ti1 Ti 0.0000 0.0000 0.6242
Ti2 Ti 0.5000 0.0000 0.4411
Ti3 Ti 0.5000 0.0000 0.8092
P1 P 0.0000 0.0000 0.5161
P2 P 0.0000 0.0000 0.8849
P3 P 0.5000 0.0000 0.3312
P4 P 0.5000 0.0000 0.7001
```



[3]
The following is a theoretical powder diffraction line list of TlP. It was derived from a structure optimized by DFT (GGA-PBE), using Cu Kα, 1.54184 Å.
No peak broadening, texture or thermal motion is included.

Peak list (12 most intense, 2θ from 15° to 90°, in order of rising 2θ)
23.79 deg, rel. 385
25.13 deg, rel. 340
26.95 deg, rel. 1000
34.88 deg, rel. 221
41.83 deg, rel. 347
45.41 deg, rel. 385
49.42 deg, rel. 335
50.47 deg, rel. 189
63.44 deg, rel. 144
67.57 deg, rel. 160
71.13 deg, rel. 103
78.91 deg, rel. 156

Cell and atoms:
```
data_TlP
_chemical_formula_sum 'Tl2 P2'
_cell_length_a 4.3190
_cell_length_b 4.3190
_cell_length_c 7.0871
_cell_angle_alpha 90.00
_cell_angle_beta 90.00
_cell_angle_gamma 120.00
_symmetry_space_group_name_H-M 'P 1'
_symmetry_Int_Tables_number 1
_symmetry_space_group_name_Hall 'P 1'
loop_
_atom_site_label
_atom_site_type_symbol
_atom_site_fract_x
_atom_site_fract_y
_atom_site_fract_z
Tl1 Tl 0.3333 0.6667 0.0000
Tl2 Tl 0.6667 0.3333 0.5000
P1 P 0.3333 0.6667 0.6250
P2 P 0.6667 0.3333 0.1250
```



[4]
The following is a theoretical powder diffraction line list of TlP. It was derived from a structure optimized by DFT (GGA-PBE), using Cu Kα, 1.54184 Å.
No peak broadening, texture or thermal motion is included.

Peak list (10 most intense, 2θ from 15° to 90°, in order of rising 2θ)
25.20 deg, rel. 1000
29.18 deg, rel. 358
41.74 deg, rel. 518
49.39 deg, rel. 497
51.74 deg, rel. 104
60.51 deg, rel. 87
66.61 deg, rel. 205
68.57 deg, rel. 136
76.21 deg, rel. 180
81.77 deg, rel. 158

Cell and atoms:
```
data_TlP
_chemical_formula_sum 'Tl1 P1'
_cell_length_a 4.3275
_cell_length_b 4.3275
_cell_length_c 4.3275
_cell_angle_alpha 60.00
_cell_angle_beta 60.00
_cell_angle_gamma 60.00
_symmetry_space_group_name_H-M 'P 1'
_symmetry_Int_Tables_number 1
_symmetry_space_group_name_Hall 'P 1'
loop_
_atom_site_label
_atom_site_type_symbol
_atom_site_fract_x
_atom_site_fract_y
_atom_site_fract_z
Tl1 Tl 0.0000 0.0000 0.0000
P1 P 0.7500 0.7500 0.7500
```



[5]
The following is a theoretical powder diffraction line list of Tm3P. It was derived from a structure optimized by DFT (GGA-PBE), using Cu Kα, 1.54184 Å.
No peak broadening, texture or thermal motion is included.

Peak list (12 most intense, 2θ from 15° to 90°, in order of rising 2θ)
19.73 deg, rel. 191
28.04 deg, rel. 167
34.52 deg, rel. 1000
40.08 deg, rel. 498
45.05 deg, rel. 96
49.63 deg, rel. 73
57.97 deg, rel. 339
61.86 deg, rel. 48
69.25 deg, rel. 399
72.81 deg, rel. 115
79.74 deg, rel. 37
86.52 deg, rel. 57

Cell and atoms:
```
data_Tm3P
_chemical_formula_sum 'Tm3 P1'
_cell_length_a 4.4997
_cell_length_b 4.4997
_cell_length_c 4.4997
_cell_angle_alpha 90.00
_cell_angle_beta 90.00
_cell_angle_gamma 90.00
_symmetry_space_group_name_H-M 'P 1'
_symmetry_Int_Tables_number 1
_symmetry_space_group_name_Hall 'P 1'
loop_
_atom_site_label
_atom_site_type_symbol
_atom_site_fract_x
_atom_site_fract_y
_atom_site_fract_z
Tm1 Tm 0.0000 0.0000 0.5000
Tm2 Tm 0.0000 0.5000 0.0000
Tm3 Tm 0.5000 0.0000 0.0000
P1 P 0.5000 0.5000 0.5000
```



[6]
The following is a theoretical powder diffraction line list of TmP. It was derived from a structure optimized by DFT (GGA-PBE), using Cu Kα, 1.54184 Å.
No peak broadening, texture or thermal motion is included.

Peak list (9 most intense, 2θ from 15° to 90°, in order of rising 2θ)
27.66 deg, rel. 909
32.04 deg, rel. 1000
45.95 deg, rel. 730
54.48 deg, rel. 440
57.12 deg, rel. 255
67.01 deg, rel. 118
73.96 deg, rel. 178
76.22 deg, rel. 329
85.07 deg, rel. 254

Cell and atoms:
```
data_TmP
_chemical_formula_sum 'Tm1 P1'
_cell_length_a 3.9501
_cell_length_b 3.9501
_cell_length_c 3.9501
_cell_angle_alpha 60.00
_cell_angle_beta 60.00
_cell_angle_gamma 60.00
_symmetry_space_group_name_H-M 'P 1'
_symmetry_Int_Tables_number 1
_symmetry_space_group_name_Hall 'P 1'
loop_
_atom_site_label
_atom_site_type_symbol
_atom_site_fract_x
_atom_site_fract_y
_atom_site_fract_z
Tm1 Tm 0.0000 0.0000 0.0000
P1 P 0.5000 0.5000 0.5000
```



[7]
The following is a theoretical powder diffraction line list of TmP5. It was derived from a structure optimized by DFT (GGA-PBE), using Cu Kα, 1.54184 Å.
No peak broadening, texture or thermal motion is included.

Peak list (12 most intense, 2θ from 15° to 90°, in order of rising 2θ)
18.46 deg, rel. 309
18.96 deg, rel. 374
19.54 deg, rel. 552
24.31 deg, rel. 641
26.58 deg, rel. 1000
27.85 deg, rel. 310
29.47 deg, rel. 943
33.50 deg, rel. 337
35.88 deg, rel. 459
42.30 deg, rel. 444
42.98 deg, rel. 258
46.29 deg, rel. 284

Cell and atoms:
```
data_TmP5
_chemical_formula_sum 'Tm2 P10'
_cell_length_a 4.9208
_cell_length_b 9.3617
_cell_length_c 5.3176
_cell_angle_alpha 90.00
_cell_angle_beta 102.34
_cell_angle_gamma 90.00
_symmetry_space_group_name_H-M 'P 1'
_symmetry_Int_Tables_number 1
_symmetry_space_group_name_Hall 'P 1'
loop_
_atom_site_label
_atom_site_type_symbol
_atom_site_fract_x
_atom_site_fract_y
_atom_site_fract_z
Tm1 Tm 0.0025 0.2500 0.3467
Tm2 Tm 0.9975 0.7500 0.6533
P1 P 0.2714 0.2500 0.8909
P2 P 0.2833 0.5284 0.4055
P3 P 0.2833 0.9716 0.4055
P4 P 0.3833 0.5934 0.0432
P5 P 0.3833 0.9066 0.0432
P6 P 0.6167 0.0934 0.9568
P7 P 0.6167 0.4066 0.9568
P8 P 0.7167 0.0284 0.5945
P9 P 0.7167 0.4716 0.5945
P10 P 0.7286 0.7500 0.1091
```



[8]
The following is a theoretical powder diffraction line list of UP2. It was derived from a structure optimized by DFT (GGA-PBE), using Cu Kα, 1.54184 Å.
No peak broadening, texture or thermal motion is included.

Peak list (12 most intense, 2θ from 15° to 90°, in order of rising 2θ)
23.03 deg, rel. 287
26.16 deg, rel. 1000
33.39 deg, rel. 378
34.85 deg, rel. 114
35.41 deg, rel. 110
40.95 deg, rel. 475
42.43 deg, rel. 276
47.94 deg, rel. 213
53.82 deg, rel. 131
55.42 deg, rel. 275
65.91 deg, rel. 156
84.53 deg, rel. 125

Cell and atoms:
```
data_UP2
_chemical_formula_sum 'U4 P8'
_cell_length_a 8.6056
_cell_length_b 8.6056
_cell_length_c 8.6056
_cell_angle_alpha 143.65
_cell_angle_beta 143.65
_cell_angle_gamma 52.34
_symmetry_space_group_name_H-M 'P 1'
_symmetry_Int_Tables_number 1
_symmetry_space_group_name_Hall 'P 1'
loop_
_atom_site_label
_atom_site_type_symbol
_atom_site_fract_x
_atom_site_fract_y
_atom_site_fract_z
U1 U 0.0000 0.0000 0.0000
U2 U 0.2104 0.7104 0.5000
U3 U 0.4875 0.4875 0.0000
U4 U 0.7104 0.2104 0.5000
P1 P 0.0296 0.5296 0.5000
P2 P 0.0786 0.0786 0.4530
P3 P 0.0786 0.6256 0.0000
P4 P 0.1776 0.1776 0.0000
P5 P 0.5296 0.0296 0.5000
P6 P 0.6256 0.0786 0.0000
P7 P 0.6256 0.6256 0.5470
P8 P 0.6690 0.6690 0.0000
```